[1]
This entry pairs a crystal structure of Pm4As2SeBr with its calculated XRD peak list. Radiation: CuKα. Structure: a structure optimized by DFT (PBE).

Cell and atoms:
Lattice parameters (Å, degrees): 7.3333 4.2190 7.4388 90.00 109.04 90.00
Space group P2/m (No. 10)
One atom of each set of equivalent atoms:
Pm 0.2297 0.0000 0.2212
Pm 0.2463 0.5000 0.7715
As 0.0000 0.5000 0.0000
As 0.5000 0.0000 0.0000
Se 0.0000 0.0000 0.5000
Br 0.5000 0.5000 0.5000

Top 10 peaks for 2θ from 10° to 90°, by angle:
hkl 1 1 -1, 3.458 Å, I 13; hkl 1 1 1, 3.007 Å, I 100; hkl 2 0 2, 2.143 Å, I 12; hkl 1 1 -3, 2.138 Å, I 23; hkl 3 1 -1, 2.115 Å, I 25; hkl 0 2 0, 2.109 Å, I 13; hkl 2 2 -2, 1.727 Å, I 13; hkl 2 2 2, 1.503 Å, I 11; hkl 0 2 4, 1.350 Å, I 9; hkl 4 2 0, 1.339 Å, I 11

***

[2]
This entry pairs a crystal structure of Pr8As6Br with its calculated XRD peak list. Radiation: CuKα. Structure: a structure optimized by DFT (PBE).

Cell and atoms:
Lattice parameters (Å, degrees): 11.3717 11.3717 4.4274 90.00 90.00 120.00
Space group P-3 (No. 147)
One atom of each set of equivalent atoms:
Pr 0.0366 0.3674 0.2445
Pr 0.3333 0.6667 0.7531
As 0.1417 0.6651 0.2545
Br 0.0000 0.0000 0.0000

Top 10 peaks for 2θ from 10° to 90°, by angle:
hkl 2 -1 1, 3.493 Å, I 45; hkl 3 0 0, 3.286 Å, I 100; hkl 3 -1 1, 2.849 Å, I 52; hkl 2 2 1, 2.392 Å, I 54; hkl 0 0 2, 2.214 Å, I 18; hkl 5 -2 1, 2.012 Å, I 30; hkl 5 -4 1, 1.933 Å, I 15; hkl 0 3 2, 1.835 Å, I 18; hkl 6 0 0, 1.642 Å, I 17; hkl 8 -2 1, 1.305 Å, I 13

***

[3]
This entry pairs a crystal structure of Pr6Sb3As2Br with its calculated XRD peak list. Radiation: CuKα. Structure: a structure optimized by DFT (PBE).

Cell and atoms:
Lattice parameters (Å, degrees): 19.3537 4.4387 8.9170 90.00 102.73 90.00
Space group C2/m (No. 12)
One atom of each set of equivalent atoms:
Pr 0.0076 0.0000 0.2637
Pr 0.1708 0.5000 0.5749
Pr 0.1730 0.5000 0.1016
Sb 0.0000 0.5000 0.5000
Sb 0.1615 0.0000 0.8355
As 0.1675 0.0000 0.3332
Br 0.0000 0.5000 0.0000

Top 10 peaks for 2θ from 10° to 90°, by angle:
hkl 1 1 -2, 3.146 Å, I 100; hkl 2 0 -4, 2.231 Å, I 37; hkl 0 2 0, 2.217 Å, I 38; hkl 4 0 4, 1.828 Å, I 6; hkl 6 2 0, 1.814 Å, I 13; hkl 8 0 -4, 1.810 Å, I 7; hkl 2 2 -4, 1.573 Å, I 12; hkl 3 1 -6, 1.410 Å, I 16; hkl 1 3 -2, 1.403 Å, I 17; hkl 7 3 -2, 1.281 Å, I 8

***

[4]
This entry pairs a crystal structure of As3PtBr with its calculated XRD peak list. Radiation: CuKα. Structure: a structure optimized by DFT (PBE).

Cell and atoms:
Lattice parameters (Å, degrees): 4.9891 4.9891 4.9891 90.00 90.00 90.00
Space group Pm-3m (No. 221)
One atom of each set of equivalent atoms:
As 0.0000 0.0000 0.5000
Pt 0.0000 0.0000 0.0000
Br 0.5000 0.5000 0.5000

Top 10 peaks for 2θ from 10° to 90°, by angle:
hkl 1 0 0, 4.989 Å, I 77; hkl 1 1 0, 3.528 Å, I 75; hkl 2 0 0, 2.495 Å, I 100; hkl 2 1 0, 2.231 Å, I 40; hkl 2 1 1, 2.037 Å, I 33; hkl 2 2 0, 1.764 Å, I 70; hkl 3 0 0, 1.663 Å, I 20; hkl 2 2 2, 1.440 Å, I 24; hkl 3 2 1, 1.333 Å, I 17; hkl 4 2 0, 1.116 Å, I 33

***

[5]
This entry pairs a crystal structure of ZnAs2PtBr with its calculated XRD peak list. Radiation: CuKα. Structure: a structure optimized by DFT (PBE).

Cell and atoms:
Lattice parameters (Å, degrees): 4.7817 4.8213 4.9959 90.00 90.00 90.00
Space group Pmmm (No. 47)
One atom of each set of equivalent atoms:
Zn 0.0000 0.0000 0.0000
As 0.5000 0.0000 0.0000
As 0.5000 0.5000 0.5000
Pt 0.0000 0.5000 0.0000
Br 0.0000 0.0000 0.5000

Top 10 peaks for 2θ from 10° to 90°, by angle:
hkl 0 0 1, 4.996 Å, I 26; hkl 1 0 0, 4.782 Å, I 26; hkl 1 1 1, 2.808 Å, I 100; hkl 0 0 2, 2.498 Å, I 36; hkl 0 2 0, 2.411 Å, I 32; hkl 2 0 0, 2.391 Å, I 31; hkl 0 2 2, 1.735 Å, I 23; hkl 2 0 2, 1.727 Å, I 23; hkl 2 2 0, 1.698 Å, I 22; hkl 2 2 2, 1.404 Å, I 23

***

[6]
This entry pairs a crystal structure of Rb4AsBr6 with its calculated XRD peak list. Radiation: CuKα. Structure: a structure optimized by DFT (PBE).

Cell and atoms:
Lattice parameters (Å, degrees): 9.4398 9.4398 9.4660 90.00 90.00 90.00
Space group P4/mnc (No. 128)
One atom of each set of equivalent atoms:
Rb 0.1650 0.3350 0.2500
As 0.0000 0.0000 0.0000
Br 0.0000 0.0000 0.2808
Br 0.1058 0.6904 0.0000

Top 10 peaks for 2θ from 10° to 90°, by angle:
hkl 1 0 1, 6.683 Å, I 20; hkl 2 1 2, 3.150 Å, I 100; hkl 3 1 0, 2.986 Å, I 73; hkl 3 1 1, 2.847 Å, I 11; hkl 0 0 4, 2.366 Å, I 18; hkl 4 2 0, 2.111 Å, I 14; hkl 4 1 2, 2.061 Å, I 16; hkl 3 1 4, 1.854 Å, I 29; hkl 6 0 0, 1.574 Å, I 14; hkl 2 1 6, 1.478 Å, I 11